# HoErTeSe2
Computed powder X-ray diffraction pattern, CuKα. Input: the PBE geometry in Alexandria.
Peak positions follow from Bragg's law for the DFT cell and can differ from measured ones.

Peak list (10 most intense, 2θ from 5° to 70°, in order of rising 2θ)
2θ (°)	Rel. int.	(hkl)
27.3	1000	1 0 3
30.2	178	1 1 2
37.8	328	1 1 4
39.0	339	2 0 0
48.1	212	1 1 6
48.2	337	2 1 3
56.4	116	2 2 0
63.7	111	3 0 3
67.4	97	2 0 8
69.8	92	3 1 4

Atomic structure:
a b c (Å): 4.618 4.618 13.919
angles (deg): 90.00 90.00 90.00
Sites, in units of the cell vectors:
Ho: 0.000 0.000 0.000
Ho: 0.500 0.500 0.500
Er: 0.000 0.000 0.719
Er: 0.500 0.500 0.219
Te: 0.000 0.000 0.360
Te: 0.500 0.500 0.860
Se: 0.000 0.500 0.111
Se: 0.000 0.500 0.611
Se: 0.500 0.000 0.111
Se: 0.500 0.000 0.611